Simulated powder XRD pattern
Compound: Li2Ni3SbO8
Radiation: copper Kα
Structure: a structure optimized by DFT (PBE+U)
No peak broadening, texture or thermal motion is included.

Crystal structure
Lattice parameters (Å, degrees): 5.9904 5.9904 5.9904 58.73 58.73 58.73
Atoms (fractional coordinates):
Li (0.1291, 0.1291, 0.1291)
Li (0.8709, 0.8709, 0.8709)
Ni (0.0000, 0.5000, 0.5000)
Ni (0.5000, 0.0000, 0.5000)
Ni (0.5000, 0.5000, 0.0000)
Sb (0.5000, 0.5000, 0.5000)
O (0.2336, 0.7221, 0.2898)
O (0.2716, 0.2716, 0.2716)
O (0.2779, 0.7102, 0.7664)
O (0.2898, 0.2336, 0.7221)
O (0.7102, 0.7664, 0.2779)
O (0.7221, 0.2898, 0.2336)
O (0.7284, 0.7284, 0.7284)
O (0.7664, 0.2779, 0.7102)

Main lines, in order of rising 2θ (2θ from 5° to 70°):
2θ = 18.4°, I 100.0; 2θ = 35.0°, I 20.9; 2θ = 35.6°, I 33.4; 2θ = 37.4°, I 16.1; 2θ = 43.1°, I 50.5; 2θ = 47.7°, I 11.6; 2θ = 57.1°, I 12.5; 2θ = 57.5°, I 8.2; 2θ = 62.0°, I 15.8; 2θ = 63.3°, I 15.0